Theoretical powder diffractogram of VSi2HO6 for copper Kα, from a PBE+U-relaxed structure.

Unit cell a=6.6883 b=6.6883 c=5.0565 alpha=108.49 beta=108.49 gamma=83.91
Fractional positions:
V: 0.1090 0.8910 0.7500
V: 0.8910 0.1090 0.2500
Si: 0.2329 0.4014 0.8107
Si: 0.4014 0.2329 0.3107
Si: 0.5986 0.7671 0.6893
Si: 0.7671 0.5986 0.1893
H: 0.2653 0.7347 0.2500
H: 0.7347 0.2653 0.7500
O: 0.0637 0.2036 0.6567
O: 0.1757 0.6464 0.9731
O: 0.2036 0.0637 0.1567
O: 0.3098 0.4182 0.5421
O: 0.3535 0.8243 0.5269
O: 0.4182 0.3098 0.0421
O: 0.5818 0.6902 0.9579
O: 0.6464 0.1757 0.4731
O: 0.6902 0.5818 0.4579
O: 0.7964 0.9363 0.8433
O: 0.8243 0.3535 0.0269
O: 0.9363 0.7964 0.3433

Principal peaks in the range 2θ from 10° to 80°, in order of rising 2θ:
Position (°2θ)	I_rel
19.86	39
20.24	19
27.25	36
29.04	100
31.46	67
34.98	42
39.13	22
41.31	20
42.71	23
58.79	20